(1)
Diffraction record for Mg2Si. The X-ray powder pattern is theoretical, not measured: it uses a structure optimized by DFT (PBE) and λ = 1.5418 Å (Cu Kα).
Peak positions follow from Bragg's law for the DFT cell and can differ from measured ones.

Structural model:
```
Mg2Si
1.0
5.932 0.000 0.000
2.932 5.195 0.000
2.838 1.165 7.399
Mg Si
8 4
direct
0.000 0.000 0.000 Mg
0.022 0.469 0.032 Mg
0.186 0.213 0.394 Mg
0.220 0.715 0.328 Mg
0.321 0.716 0.678 Mg
0.511 0.967 0.023 Mg
0.703 0.218 0.358 Mg
0.821 0.673 0.680 Mg
0.320 0.231 0.693 Si
0.509 0.486 0.011 Si
0.725 0.724 0.334 Si
0.765 0.183 0.708 Si
```

Most intense lines, 2θ from 10° to 80°, low angle first:
| two_theta | d_spacing | I_rel |
| --- | --- | --- |
| 34.94 | 2.568 | 22 |
| 35.19 | 2.550 | 57 |
| 36.43 | 2.467 | 100 |
| 37.87 | 2.376 | 73 |
| 38.08 | 2.363 | 79 |
| 38.90 | 2.315 | 28 |
| 39.51 | 2.281 | 30 |
| 40.84 | 2.209 | 60 |
| 41.57 | 2.173 | 53 |
| 46.08 | 1.970 | 27 |

=====

(2)
Diffraction record for NdCdPd2. The X-ray powder pattern is theoretical, not measured: it uses a structure optimized by DFT (PBE) and λ = 1.5418 Å (Cu Kα).
Peak positions follow from Bragg's law for the DFT cell and can differ from measured ones.

Structural model:
```
NdCdPd2
1.0
0.000 3.471 3.471
3.471 0.000 3.471
3.471 3.471 0.000
Nd Cd Pd
1 1 2
direct
0.000 0.000 0.000 Nd
0.500 0.500 0.500 Cd
0.250 0.250 0.250 Pd
0.750 0.750 0.750 Pd
```

Most intense lines, 2θ from 10° to 80°, low angle first:
| two_theta | d_spacing | I_rel |
| --- | --- | --- |
| 22.18 | 4.008 | 1 |
| 25.67 | 3.471 | 1 |
| 36.61 | 2.454 | 100 |
| 43.23 | 2.093 | 1 |
| 52.75 | 1.735 | 17 |
| 65.92 | 1.417 | 35 |
| 77.84 | 1.227 | 11 |

=====

(3)
Diffraction record for Sr2Cd2CuS2O2. The X-ray powder pattern is theoretical, not measured: it uses a structure optimized by DFT (PBE) and λ = 1.5418 Å (Cu Kα).
Peak positions follow from Bragg's law for the DFT cell and can differ from measured ones.

Structural model:
```
Sr2Cd2CuS2O2
1.0
-2.031 2.031 10.471
2.031 -2.031 10.471
2.031 2.031 -10.471
Sr Cd Cu S O
2 2 1 2 2
direct
0.078 0.078 0.000 Sr
0.922 0.922 0.000 Sr
0.250 0.750 0.500 Cd
0.750 0.250 0.500 Cd
0.500 0.500 0.000 Cu
0.355 0.355 0.000 S
0.645 0.645 0.000 S
0.000 0.500 0.500 O
0.500 0.000 0.500 O
```

Most intense lines, 2θ from 10° to 80°, low angle first:
| two_theta | d_spacing | I_rel |
| --- | --- | --- |
| 16.94 | 5.235 | 42 |
| 25.52 | 3.490 | 24 |
| 30.66 | 2.916 | 37 |
| 32.32 | 2.770 | 100 |
| 35.65 | 2.518 | 65 |
| 37.33 | 2.409 | 51 |
| 44.62 | 2.031 | 54 |
| 46.96 | 1.935 | 22 |
| 59.54 | 1.553 | 25 |
| 71.24 | 1.324 | 18 |

=====

(4)
Diffraction record for Na4HfScSi2PO12. The X-ray powder pattern is theoretical, not measured: it uses a structure optimized by DFT (PBE) and λ = 1.5418 Å (Cu Kα).
Peak positions follow from Bragg's law for the DFT cell and can differ from measured ones.

Structural model:
```
Na4HfScSi2PO12
1.0
7.931 -4.594 0.000
7.931 4.594 0.000
-5.302 0.000 7.598
Na Hf Sc Si P O
8 2 2 4 2 24
direct
0.061 0.939 0.500 Na
0.199 0.434 0.994 Na
0.314 0.822 0.245 Na
0.434 0.199 0.494 Na
0.564 0.708 0.002 Na
0.708 0.564 0.502 Na
0.822 0.314 0.745 Na
0.939 0.061 0.000 Na
0.465 0.967 0.697 Hf
0.967 0.465 0.197 Hf
0.159 0.674 0.802 Sc
0.674 0.159 0.302 Sc
0.067 0.276 0.503 Si
0.276 0.067 0.003 Si
0.774 0.862 0.501 Si
0.862 0.774 0.001 Si
0.361 0.568 0.504 P
0.568 0.361 0.004 P
0.044 0.747 0.985 O
0.046 0.305 0.329 O
0.093 0.245 0.019 O
0.096 0.450 0.674 O
0.191 0.546 0.338 O
0.245 0.093 0.519 O
0.254 0.892 0.983 O
0.305 0.046 0.829 O
0.335 0.591 0.665 O
0.381 0.736 0.519 O
0.407 0.530 0.980 O
0.450 0.096 0.174 O
0.530 0.407 0.480 O
0.546 0.191 0.838 O
0.591 0.335 0.165 O
0.594 0.884 0.520 O
0.682 0.805 0.829 O
0.736 0.381 0.019 O
0.747 0.044 0.485 O
0.805 0.682 0.329 O
0.834 0.951 0.171 O
0.884 0.594 0.020 O
0.892 0.254 0.483 O
0.951 0.834 0.671 O
```

Most intense lines, 2θ from 10° to 80°, low angle first:
| two_theta | d_spacing | I_rel |
| --- | --- | --- |
| 13.59 | 6.517 | 81 |
| 19.17 | 4.630 | 74 |
| 19.35 | 4.586 | 58 |
| 23.72 | 3.751 | 20 |
| 27.37 | 3.258 | 36 |
| 30.56 | 2.926 | 100 |
| 30.80 | 2.903 | 20 |
| 33.85 | 2.648 | 50 |
| 46.21 | 1.964 | 23 |
| 50.26 | 1.815 | 20 |

=====

(5)
Diffraction record for Sr3Sn. The X-ray powder pattern is theoretical, not measured: it uses a structure optimized by DFT (PBE) and λ = 1.5418 Å (Cu Kα).
Peak positions follow from Bragg's law for the DFT cell and can differ from measured ones.

Structural model:
```
Sr3Sn
1.0
5.366 0.000 0.000
0.000 5.366 0.000
0.000 0.000 5.366
Sr Sn
3 1
direct
0.000 0.000 0.500 Sr
0.000 0.500 0.000 Sr
0.500 0.000 0.000 Sr
0.500 0.500 0.500 Sn
```

Most intense lines, 2θ from 10° to 80°, low angle first:
| two_theta | d_spacing | I_rel |
| --- | --- | --- |
| 16.52 | 5.366 | 2 |
| 23.44 | 3.795 | 2 |
| 28.82 | 3.098 | 100 |
| 33.40 | 2.683 | 51 |
| 47.95 | 1.897 | 37 |
| 56.91 | 1.618 | 44 |
| 59.69 | 1.549 | 13 |
| 70.15 | 1.342 | 6 |
| 77.54 | 1.231 | 18 |
| 79.95 | 1.200 | 17 |

=====

(6)
Diffraction record for SrEuMgBiO6. The X-ray powder pattern is theoretical, not measured: it uses a structure optimized by DFT (PBE) and λ = 1.5418 Å (Cu Kα).
Peak positions follow from Bragg's law for the DFT cell and can differ from measured ones.

Structural model:
```
SrEuMgBiO6
1.0
0.000 4.124 4.124
4.124 0.000 4.124
4.124 4.124 0.000
Sr Eu Mg Bi O
1 1 1 1 6
direct
0.000 0.000 0.000 Sr
0.500 0.500 0.500 Eu
0.750 0.750 0.750 Mg
0.250 0.250 0.250 Bi
0.504 0.504 0.996 O
0.504 0.996 0.504 O
0.504 0.996 0.996 O
0.996 0.504 0.504 O
0.996 0.504 0.996 O
0.996 0.996 0.504 O
```

Most intense lines, 2θ from 10° to 80°, low angle first:
| two_theta | d_spacing | I_rel |
| --- | --- | --- |
| 18.63 | 4.763 | 40 |
| 30.65 | 2.916 | 100 |
| 36.11 | 2.487 | 25 |
| 43.90 | 2.062 | 31 |
| 48.08 | 1.892 | 12 |
| 54.50 | 1.684 | 41 |
| 58.11 | 1.588 | 9 |
| 63.83 | 1.458 | 20 |
| 67.13 | 1.394 | 9 |
| 72.47 | 1.304 | 18 |

=====

(7)
Diffraction record for RuOF4. The X-ray powder pattern is theoretical, not measured: it uses a structure optimized by DFT (PBE) and λ = 1.5418 Å (Cu Kα).
Peak positions follow from Bragg's law for the DFT cell and can differ from measured ones.

Structural model:
```
RuOF4
1.0
5.622 0.000 0.000
0.000 9.505 0.000
0.000 0.000 12.833
Ru O F
8 8 32
direct
0.106 0.233 0.295 Ru
0.148 0.482 0.986 Ru
0.352 0.518 0.486 Ru
0.394 0.767 0.795 Ru
0.606 0.267 0.705 Ru
0.648 0.018 0.014 Ru
0.852 0.982 0.514 Ru
0.894 0.733 0.205 Ru
0.094 0.579 0.530 O
0.145 0.817 0.234 O
0.355 0.183 0.734 O
0.406 0.421 0.030 O
0.594 0.921 0.470 O
0.645 0.683 0.766 O
0.855 0.317 0.266 O
0.906 0.079 0.970 O
0.070 0.852 0.460 F
0.088 0.108 0.556 F
0.118 0.591 0.127 F
0.119 0.104 0.183 F
0.130 0.390 0.858 F
0.137 0.355 0.425 F
0.162 0.874 0.863 F
0.167 0.656 0.727 F
0.333 0.344 0.227 F
0.338 0.126 0.363 F
0.363 0.645 0.925 F
0.370 0.610 0.358 F
0.381 0.896 0.683 F
0.382 0.409 0.627 F
0.412 0.892 0.056 F
0.430 0.148 0.960 F
0.570 0.648 0.540 F
0.588 0.392 0.444 F
0.618 0.909 0.873 F
0.619 0.396 0.817 F
0.630 0.110 0.142 F
0.637 0.145 0.575 F
0.662 0.626 0.137 F
0.667 0.844 0.273 F
0.833 0.156 0.773 F
0.838 0.374 0.637 F
0.863 0.855 0.075 F
0.870 0.890 0.642 F
0.881 0.604 0.317 F
0.882 0.091 0.373 F
0.912 0.608 0.944 F
0.930 0.352 0.040 F
```

Most intense lines, 2θ from 10° to 80°, low angle first:
| two_theta | d_spacing | I_rel |
| --- | --- | --- |
| 17.22 | 5.149 | 33 |
| 18.33 | 4.839 | 31 |
| 19.61 | 4.528 | 72 |
| 22.80 | 3.901 | 22 |
| 23.02 | 3.863 | 54 |
| 23.29 | 3.819 | 100 |
| 25.50 | 3.492 | 30 |
| 27.82 | 3.206 | 31 |
| 37.84 | 2.377 | 23 |
| 54.96 | 1.671 | 22 |

=====

(8)
Diffraction record for SrLaCuO4. The X-ray powder pattern is theoretical, not measured: it uses a structure optimized by DFT (PBE) and λ = 1.5418 Å (Cu Kα).
Peak positions follow from Bragg's law for the DFT cell and can differ from measured ones.

Structural model:
```
SrLaCuO4
1.0
-1.935 1.935 6.283
1.935 -1.935 6.283
1.935 1.935 -6.283
Sr La Cu O
1 1 1 4
direct
0.000 0.000 0.000 Sr
0.721 0.721 0.000 La
0.362 0.362 0.000 Cu
0.196 0.196 0.000 O
0.355 0.855 0.500 O
0.534 0.534 0.000 O
0.855 0.355 0.500 O
```

Most intense lines, 2θ from 10° to 80°, low angle first:
| two_theta | d_spacing | I_rel |
| --- | --- | --- |
| 14.09 | 6.283 | 14 |
| 24.06 | 3.698 | 17 |
| 31.47 | 2.843 | 100 |
| 32.73 | 2.736 | 72 |
| 42.91 | 2.108 | 21 |
| 43.88 | 2.063 | 26 |
| 46.96 | 1.935 | 37 |
| 55.23 | 1.663 | 14 |
| 57.63 | 1.600 | 37 |
| 65.70 | 1.421 | 12 |

=====

(9)
Diffraction record for RbSeBr3. The X-ray powder pattern is theoretical, not measured: it uses a structure optimized by DFT (PBE) and λ = 1.5418 Å (Cu Kα).
Peak positions follow from Bragg's law for the DFT cell and can differ from measured ones.

Structural model:
```
RbSeBr3
1.0
5.717 0.000 0.000
0.000 9.228 0.000
-0.903 0.000 7.436
Rb Se Br
2 2 6
direct
0.201 0.250 0.106 Rb
0.799 0.750 0.894 Rb
0.000 0.000 0.500 Se
0.000 0.500 0.500 Se
0.152 0.750 0.387 Br
0.279 0.527 0.802 Br
0.279 0.973 0.802 Br
0.721 0.027 0.198 Br
0.721 0.473 0.198 Br
0.848 0.250 0.613 Br
```

Most intense lines, 2θ from 10° to 80°, low angle first:
| two_theta | d_spacing | I_rel |
| --- | --- | --- |
| 15.61 | 5.676 | 28 |
| 18.49 | 4.799 | 34 |
| 20.86 | 4.259 | 33 |
| 25.83 | 3.449 | 38 |
| 26.80 | 3.326 | 100 |
| 28.48 | 3.134 | 24 |
| 35.18 | 2.551 | 22 |
| 36.13 | 2.486 | 18 |
| 39.04 | 2.307 | 26 |
| 42.46 | 2.129 | 22 |